Starting from a PBE-relaxed structure, the XRD peak list of Y8Ga3Se4S was computed for Cu Kα X-rays.
No peak broadening, texture or thermal motion is included.

Cell and atoms:
```
data_Y8Ga3Se4S
_chemical_formula_sum 'Y24 Ga9 Se12 S3'
_symmetry_space_group_name_H-M 'R -3 m'
_symmetry_Int_Tables_number 166
_symmetry_space_group_name_Hall '-R 3 2"'
_cell_length_a 8.0879
_cell_length_b 8.0879
_cell_length_c 20.8040
_cell_angle_alpha 90.00
_cell_angle_beta 90.00
_cell_angle_gamma 120.00
loop_
_atom_site_label
_atom_site_type_symbol
_atom_site_fract_x
_atom_site_fract_y
_atom_site_fract_z
_atom_site_occupancy
Y1 Y 0.0000 0.0000 0.2495 1
Y2 Y 0.0021 0.5010 0.7471 1
Ga1 Ga 0.0000 0.5000 0.0000 1
Se1 Se 0.0000 0.0000 0.5000 1
Se2 Se 0.0000 0.5000 0.5000 1
S1 S 0.0000 0.0000 0.0000 1
```

Peak list (10 most intense, 2θ = 15–90°, in order of rising 2θ)
h k l, 2θ/deg, intensity
0 2 4, 30.8, 100
2 0 8, 43.3, 38
2 2 0, 44.8, 35
0 0 12, 52.8, 7
4 0 4, 55.4, 18
0 4 8, 64.1, 11
2 2 12, 71.7, 16
2 4 4, 73.9, 15
0 2 16, 78.5, 6
4 2 8, 81.6, 11

Starting from a PBE-relaxed structure, the XRD peak list of Er3Ge2Pd was computed for Cu Kα X-rays.
No peak broadening, texture or thermal motion is included.

Cell and atoms:
```
data_Er3Ge2Pd
_chemical_formula_sum 'Er12 Ge8 Pd4'
_symmetry_space_group_name_H-M 'P n m a'
_symmetry_Int_Tables_number 62
_cell_length_a 11.484
_cell_length_b 4.269
_cell_length_c 11.171
_cell_angle_alpha 90.00
_cell_angle_beta 90.00
_cell_angle_gamma 90.00
loop_
_symmetry_equiv_pos_as_xyz
'x,y,z'
'-x,-y,-z'
'-x+1/2,-y,z+1/2'
'x+1/2,y,-z+1/2'
'x+1/2,-y+1/2,-z+1/2'
'-x+1/2,y+1/2,z+1/2'
'-x,y+1/2,-z'
'x,-y+1/2,z'
loop_
_atom_site_label
_atom_site_type_symbol
_atom_site_fract_x
_atom_site_fract_y
_atom_site_fract_z
_atom_site_occupancy
Er1 Er 0.052 0.250 0.128 1
Er2 Er 0.124 0.750 0.561 1
Er3 Er 0.219 0.250 0.806 1
Ge1 Ge 0.008 0.750 0.311 1
Ge2 Ge 0.184 0.750 0.006 1
Pd1 Pd 0.128 0.250 0.373 1
```

Peak list (10 most intense, 2θ = 15–90°, in order of rising 2θ)
h k l, 2θ/deg, intensity
2 1 1, 27.2, 41
3 0 2, 28.3, 34
2 1 2, 30.6, 54
0 1 3, 31.9, 95
1 0 4, 33.0, 38
4 0 2, 35.1, 27
3 1 2, 35.4, 100
4 1 1, 38.6, 48
2 1 4, 41.7, 31
0 2 0, 42.3, 64

Starting from a PBE-relaxed structure, the XRD peak list of Ce4Co2Au was computed for Cu Kα X-rays.
No peak broadening, texture or thermal motion is included.

Cell and atoms:
```
data_Ce4Co2Au
_chemical_formula_sum 'Ce16 Co8 Au4'
_symmetry_space_group_name_H-M 'C 1 c 1'
_symmetry_Int_Tables_number 9
_cell_length_a 8.152
_cell_length_b 14.352
_cell_length_c 6.559
_cell_angle_alpha 90.00
_cell_angle_beta 125.39
_cell_angle_gamma 90.00
loop_
_symmetry_equiv_pos_as_xyz
'x,y,z'
'x,-y,z+1/2'
'x+1/2,y+1/2,z'
'x+1/2,-y+1/2,z+1/2'
loop_
_atom_site_label
_atom_site_type_symbol
_atom_site_fract_x
_atom_site_fract_y
_atom_site_fract_z
_atom_site_occupancy
Ce1 Ce 0.000 0.023 0.000 1
Ce2 Ce 0.059 0.223 0.641 1
Ce3 Ce 0.269 0.219 0.303 1
Ce4 Ce 0.491 0.081 0.835 1
Co1 Co 0.303 0.088 0.999 1
Co2 Co 0.411 0.329 0.720 1
Au1 Au 0.169 0.393 0.968 1
```

Peak list (10 most intense, 2θ = 15–90°, in order of rising 2θ)
h k l, 2θ/deg, intensity
1 1 -2, 28.5, 39
1 3 1, 32.8, 100
2 4 -1, 33.3, 31
1 3 -2, 33.7, 30
1 5 0, 34.0, 82
3 1 -1, 34.2, 68
3 1 -2, 35.1, 43
0 2 2, 35.8, 35
2 4 -2, 37.9, 74
2 2 1, 41.4, 41

Starting from a PBE-relaxed structure, the XRD peak list of Ca2UTl3S6 was computed for Cu Kα X-rays.
No peak broadening, texture or thermal motion is included.

Cell and atoms:
```
data_Ca2UTl3S6
_chemical_formula_sum 'Ca4 U2 Tl6 S12'
_symmetry_space_group_name_H-M 'C 1 2/m 1'
_symmetry_Int_Tables_number 12
_cell_length_a 7.076
_cell_length_b 12.223
_cell_length_c 7.802
_cell_angle_alpha 90.00
_cell_angle_beta 107.33
_cell_angle_gamma 90.00
loop_
_symmetry_equiv_pos_as_xyz
'x,y,z'
'-x,-y,-z'
'-x,y,-z'
'x,-y,z'
'x+1/2,y+1/2,z'
'-x+1/2,-y+1/2,-z'
'-x+1/2,y+1/2,-z'
'x+1/2,-y+1/2,z'
loop_
_atom_site_label
_atom_site_type_symbol
_atom_site_fract_x
_atom_site_fract_y
_atom_site_fract_z
_atom_site_occupancy
Ca1 Ca 0.000 0.166 0.000 1
U1 U 0.000 0.500 0.000 1
Tl1 Tl 0.000 0.000 0.500 1
Tl2 Tl 0.000 0.331 0.500 1
S1 S 0.220 0.346 0.197 1
S2 S 0.241 0.500 0.796 1
```

Peak list (10 most intense, 2θ = 15–90°, in order of rising 2θ)
h k l, 2θ/deg, intensity
0 0 2, 23.9, 27
2 0 -1, 25.5, 12
2 0 0, 26.4, 19
1 3 -1, 26.5, 38
2 0 -2, 29.9, 100
2 0 2, 41.1, 13
1 3 -3, 41.3, 25
3 3 -1, 44.4, 34
0 6 2, 51.1, 15
2 6 -2, 54.6, 12